Entry 1:
Simulated X-ray powder pattern of Nd6Ir3Cl2 for Cu Kα, 1.54184 Å, from DFT lattice parameters and positions (PBE).
Intensities are scaled so that the largest is 100.

Atomic structure:
a b c (Å): 7.231 12.542 7.618
angles (deg): 90.00 108.47 90.00
Space group C2/m (No. 12)
Inequivalent atoms, fractional coordinates:
Nd  0.234  0.000  0.206 (multiplicity 4)
Nd  0.238  0.334  0.211 (multiplicity 8)
Ir  0.000  0.170  0.000 (multiplicity 4)
Ir  0.000  0.500  0.000 (multiplicity 2)
Cl  0.000  0.334  0.500 (multiplicity 4)

Most intense lines, 2θ from 10° to 90°, sorted by position:
- hkl 0 0 1, 12.2°, I = 61
- hkl 1 3 0, 25.0°, I = 13
- hkl 1 3 1, 29.7°, I = 100
- hkl 2 0 -3, 38.3°, I = 23
- hkl 2 0 2, 41.6°, I = 32
- hkl 3 3 -1, 43.3°, I = 38
- hkl 3 3 -2, 45.2°, I = 16
- hkl 4 0 0, 53.4°, I = 19
- hkl 3 3 3, 68.7°, I = 11
- hkl 4 6 0, 71.1°, I = 16



Entry 2:
Simulated X-ray powder pattern of Pr6IrOs2Cl3 for Cu Kα, 1.54184 Å, from DFT lattice parameters and positions (PBE).
Intensities are scaled so that the largest is 100.

Atomic structure:
a b c (Å): 7.164 12.416 7.983
angles (deg): 90.00 107.40 90.00
Space group C2/m (No. 12)
Inequivalent atoms, fractional coordinates:
Pr  0.231  0.000  0.206 (multiplicity 4)
Pr  0.237  0.331  0.206 (multiplicity 8)
Ir  0.000  0.500  0.000 (multiplicity 2)
Os  0.000  0.166  0.000 (multiplicity 4)
Cl  0.000  0.000  0.500 (multiplicity 2)
Cl  0.000  0.330  0.500 (multiplicity 4)

Most intense lines, 2θ from 10° to 90°, sorted by position:
- hkl 0 0 1, 11.6°, I = 60
- hkl 1 3 1, 29.4°, I = 100
- hkl 1 3 2, 37.3°, I = 23
- hkl 1 3 -3, 40.4°, I = 33
- hkl 0 6 0, 43.8°, I = 36
- hkl 3 3 0, 45.4°, I = 14
- hkl 2 0 3, 50.8°, I = 15
- hkl 2 6 -2, 53.6°, I = 18
- hkl 5 3 -3, 71.6°, I = 15
- hkl 3 3 4, 77.9°, I = 10



Entry 3:
Simulated X-ray powder pattern of Ir3PbCl for Cu Kα, 1.54184 Å, from DFT lattice parameters and positions (PBE).
Intensities are scaled so that the largest is 100.

Atomic structure:
a b c (Å): 4.564 4.564 4.564
angles (deg): 90.00 90.00 90.00
Space group Pm-3m (No. 221)
Inequivalent atoms, fractional coordinates:
Ir  0.000  0.000  0.500 (multiplicity 3)
Pb  0.500  0.500  0.500 (multiplicity 1)
Cl  0.000  0.000  0.000 (multiplicity 1)

Most intense lines, 2θ from 10° to 90°, sorted by position:
- hkl 1 1 0, 27.6°, I = 1
- hkl 1 1 1, 34.0°, I = 100
- hkl 2 0 0, 39.5°, I = 60
- hkl 2 1 1, 48.9°, I = 1
- hkl 2 2 0, 57.1°, I = 42
- hkl 3 1 1, 68.1°, I = 42
- hkl 2 2 2, 71.6°, I = 14
- hkl 4 0 0, 85.0°, I = 7



Entry 4:
Simulated X-ray powder pattern of IrPbCl5 for Cu Kα, 1.54184 Å, from DFT lattice parameters and positions (PBE).
Intensities are scaled so that the largest is 100.

Atomic structure:
a b c (Å): 10.849 8.092 9.051
angles (deg): 90.00 111.62 90.00
Space group C2/c (No. 15)
Inequivalent atoms, fractional coordinates:
Ir  0.000  0.000  0.000 (multiplicity 4)
Pb  0.000  0.478  0.250 (multiplicity 4)
Cl  0.000  0.094  0.250 (multiplicity 4)
Cl  0.077  0.272  0.991 (multiplicity 8)
Cl  0.219  0.098  0.630 (multiplicity 8)

Most intense lines, 2θ from 10° to 90°, sorted by position:
- hkl 2 0 0, 17.6°, I = 86
- hkl 0 2 0, 22.0°, I = 39
- hkl 1 1 -2, 22.5°, I = 100
- hkl 1 1 2, 28.1°, I = 29
- hkl 2 2 0, 28.3°, I = 38
- hkl 3 1 -2, 29.4°, I = 30
- hkl 1 3 -2, 38.9°, I = 22
- hkl 4 2 0, 42.2°, I = 23
- hkl 1 3 2, 42.5°, I = 21
- hkl 5 1 -2, 43.4°, I = 35



Entry 5:
Simulated X-ray powder pattern of RbIrPdCl6 for Cu Kα, 1.54184 Å, from DFT lattice parameters and positions (PBE).
Intensities are scaled so that the largest is 100.

Atomic structure:
a b c (Å): 6.4679 6.4679 7.3651
angles (deg): 90.00 90.00 120.00
Space group P312 (No. 149)
Inequivalent atoms, fractional coordinates:
Rb  0.0000  0.0000  0.0000 (multiplicity 1)
Ir  0.3333  0.6667  0.5000 (multiplicity 1)
Pd  0.6667  0.3333  0.5000 (multiplicity 1)
Cl  0.0235  0.3745  0.3187 (multiplicity 6)

Most intense lines, 2θ from 10° to 90°, sorted by position:
- hkl 0 0 1, 12.0°, I = 75
- hkl 1 0 0, 15.8°, I = 19
- hkl 1 0 1, 19.9°, I = 100
- hkl 1 1 0, 27.6°, I = 26
- hkl 1 1 1, 30.2°, I = 30
- hkl 2 0 1, 34.3°, I = 19
- hkl 1 1 2, 37.0°, I = 69
- hkl 2 1 1, 44.5°, I = 23
- hkl 3 0 0, 48.8°, I = 22
- hkl 2 -1 4, 57.6°, I = 16



Entry 6:
Simulated X-ray powder pattern of PmIrCl for Cu Kα, 1.54184 Å, from DFT lattice parameters and positions (PBE).
Intensities are scaled so that the largest is 100.

Atomic structure:
a b c (Å): 4.3026 4.3026 31.0527
angles (deg): 90.00 90.00 120.00
Space group R-3m (No. 166, hexagonal axes)
Inequivalent atoms, fractional coordinates:
Pm  0.0000  0.0000  0.0614 (multiplicity 6)
Ir  0.0000  0.0000  0.3352 (multiplicity 6)
Cl  0.0000  0.0000  0.2196 (multiplicity 6)

Most intense lines, 2θ from 10° to 90°, sorted by position:
- hkl 0 1 5, 27.9°, I = 20
- hkl 1 0 7, 31.4°, I = 100
- hkl 0 1 8, 33.3°, I = 56
- hkl 1 0 10, 37.7°, I = 36
- hkl 0 1 11, 40.1°, I = 19
- hkl 1 1 0, 42.0°, I = 81
- hkl 1 1 3, 42.9°, I = 59
- hkl 0 2 7, 53.3°, I = 22
- hkl 1 1 15, 62.2°, I = 35
- hkl 1 1 18, 69.9°, I = 29



Entry 7:
Simulated X-ray powder pattern of Pm4Ir2Cl3 for Cu Kα, 1.54184 Å, from DFT lattice parameters and positions (PBE).
Intensities are scaled so that the largest is 100.

Atomic structure:
a b c (Å): 7.031 4.059 18.096
angles (deg): 90.00 90.01 90.00
Space group C2/m (No. 12)
Inequivalent atoms, fractional coordinates:
Pm  0.000  0.000  0.197 (multiplicity 4)
Pm  0.166  0.500  0.624 (multiplicity 4)
Ir  0.167  0.500  0.291 (multiplicity 4)
Cl  0.000  0.000  0.500 (multiplicity 2)
Cl  0.166  0.500  0.899 (multiplicity 4)

Most intense lines, 2θ from 10° to 90°, sorted by position:
- hkl 1 1 1, 25.8°, I = 12
- hkl 2 0 -3, 29.4°, I = 100
- hkl 1 1 4, 32.3°, I = 16
- hkl 2 0 -5, 35.6°, I = 26
- hkl 1 1 -6, 39.4°, I = 32
- hkl 2 0 7, 43.5°, I = 15
- hkl 3 1 0, 44.7°, I = 38
- hkl 3 1 -2, 45.8°, I = 16
- hkl 2 2 -3, 54.4°, I = 18
- hkl 5 1 -3, 72.9°, I = 15



Entry 8:
Simulated X-ray powder pattern of PmYIrCl for Cu Kα, 1.54184 Å, from DFT lattice parameters and positions (PBE).
Intensities are scaled so that the largest is 100.

Atomic structure:
a b c (Å): 7.034 4.063 7.915
angles (deg): 90.00 107.19 90.00
Space group Cm (No. 8)
Inequivalent atoms, fractional coordinates:
Pm  0.000  0.000  0.000 (multiplicity 2)
Y  0.202  0.000  0.605 (multiplicity 2)
Ir  0.100  0.500  0.798 (multiplicity 2)
Cl  0.275  0.500  0.323 (multiplicity 2)

Most intense lines, 2θ from 10° to 90°, sorted by position:
- hkl 0 0 1, 11.7°, I = 92
- hkl 1 1 -1, 26.5°, I = 46
- hkl 2 0 1, 32.2°, I = 100
- hkl 2 0 -3, 37.7°, I = 22
- hkl 2 0 2, 40.9°, I = 16
- hkl 0 2 0, 44.6°, I = 42
- hkl 3 1 0, 46.3°, I = 20
- hkl 1 1 3, 47.7°, I = 30
- hkl 2 2 1, 56.1°, I = 20
- hkl 5 1 0, 74.3°, I = 18